[1]
KSr2Se2: theoretical powder X-ray diffraction pattern (CuKα), based on a crystal structure in Alexandria, relaxed with PBE.
Kinematic intensities with the Lorentz-polarization factor, no thermal factor.

Cell and atoms:
```
data_KSr2Se2
_chemical_formula_sum 'K2 Sr4 Se4'
_space_group_name_H-M_alt 'P 4/m b m'
_space_group_IT_number 127
_space_group_name_Hall '-P 4 2ab'
_cell_length_a 8.6425
_cell_length_b 8.6425
_cell_length_c 4.2391
_cell_angle_alpha 90.00
_cell_angle_beta 90.00
_cell_angle_gamma 90.00
loop_
_atom_site_label
_atom_site_type_symbol
_atom_site_fract_x
_atom_site_fract_y
_atom_site_fract_z
_atom_site_occupancy
K1 K 0.0000 0.0000 0.0000 1
Sr1 Sr 0.1525 0.3475 0.5000 1
Se1 Se 0.1517 0.6517 0.0000 1
```

Peak list (6 most intense, 10° ≤ 2θ ≤ 90°, by angle)
hkl	two_theta	Rel. int.
1 1 0	14.5	12
2 1 1	31.3	100
3 1 0	32.8	34
4 1 1	48.4	13
3 1 2	54.8	15
5 2 1	61.8	21



[2]
K2Ta4Se7: theoretical powder X-ray diffraction pattern (CuKα), based on a crystal structure in Alexandria, relaxed with PBE.
Kinematic intensities with the Lorentz-polarization factor, no thermal factor.

Cell and atoms:
```
data_K2Ta4Se7
_chemical_formula_sum 'K4 Ta8 Se14'
_space_group_name_H-M_alt 'C 1 2/m 1'
_space_group_IT_number 12
_space_group_name_Hall '-C 2y'
_cell_length_a 7.0628
_cell_length_b 10.7386
_cell_length_c 8.2261
_cell_angle_alpha 90.00
_cell_angle_beta 91.70
_cell_angle_gamma 90.00
loop_
_atom_site_label
_atom_site_type_symbol
_atom_site_fract_x
_atom_site_fract_y
_atom_site_fract_z
_atom_site_occupancy
K1 K 0.0000 0.1572 0.0000 1
Ta1 Ta 0.0000 0.2297 0.5000 1
Ta2 Ta 0.0375 0.5000 0.3331 1
Se1 Se 0.0000 0.5000 0.0000 1
Se2 Se 0.1882 0.0000 0.4130 1
Se3 Se 0.2322 0.3033 0.2807 1
```

Peak list (6 most intense, 10° ≤ 2θ ≤ 90°, by angle)
hkl	two_theta	Rel. int.
0 0 1	10.8	100
1 1 0	15.0	25
1 3 0	27.9	21
0 4 0	33.4	19
2 2 -2	37.1	30
2 2 -3	44.6	21



[3]
K2Ta3Se6: theoretical powder X-ray diffraction pattern (CuKα), based on a crystal structure in Alexandria, relaxed with PBE.
Kinematic intensities with the Lorentz-polarization factor, no thermal factor.

Cell and atoms:
```
data_K2Ta3Se6
_chemical_formula_sum 'K4 Ta6 Se12'
_space_group_name_H-M_alt 'P -6 m 2'
_space_group_IT_number 187
_space_group_name_Hall 'P -6 2'
_cell_length_a 3.5745
_cell_length_b 3.5745
_cell_length_c 47.5381
_cell_angle_alpha 90.00
_cell_angle_beta 90.00
_cell_angle_gamma 120.00
loop_
_atom_site_label
_atom_site_type_symbol
_atom_site_fract_x
_atom_site_fract_y
_atom_site_fract_z
_atom_site_occupancy
K1 K 0.0000 0.0000 0.0000 1
K2 K 0.0000 0.0000 0.3269 1
K3 K 0.3333 0.6667 0.5000 1
Ta1 Ta 0.3333 0.6667 0.0865 1
Ta2 Ta 0.3333 0.6667 0.2409 1
Ta3 Ta 0.3333 0.6667 0.4134 1
Se1 Se 0.6667 0.3333 0.0516 1
Se2 Se 0.6667 0.3333 0.1204 1
Se3 Se 0.6667 0.3333 0.2070 1
Se4 Se 0.6667 0.3333 0.2757 1
Se5 Se 0.6667 0.3333 0.3790 1
Se6 Se 0.6667 0.3333 0.4479 1
```

Peak list (6 most intense, 10° ≤ 2θ ≤ 90°, by angle)
hkl	two_theta	Rel. int.
0 0 6	11.2	100
1 0 0	28.8	23
1 0 6	31.0	43
1 0 12	36.8	64
1 0 18	45.1	23
1 1 0	51.1	26